Starting from a GGA-PBE-relaxed structure, the XRD peak list of Th2S5 was calculated for copper Kα.

Largest 6 diffraction maxima, in order of rising 2θ, 10° ≤ 2θ ≤ 80°:
Position (°2θ)  d/Å  intensity
23.29  3.819  62
23.92  3.720  100
33.17  2.701  37
34.97  2.566  16
41.31  2.186  81
42.44  2.130  28

Cell: 7.6257 10.2639 7.6522 Å, 90.00 90.00 90.00°
Space group Pbcn (No. 60)
Unique sites:
Th1 0.2338 0.1461 0.0178 [8 per cell]
S1 0.0000 0.2491 0.7500 [4 per cell]
S2 0.0998 0.3980 0.1496 [8 per cell]
S3 0.1374 0.1084 0.3886 [8 per cell]

***

Starting from a GGA-PBE-relaxed structure, the XRD peak list of ThTl2S4 was calculated for copper Kα.

Largest 6 diffraction maxima, in order of rising 2θ, 10° ≤ 2θ ≤ 80°:
Position (°2θ)  d/Å  intensity
20.94  4.243  48
24.31  3.662  96
24.67  3.608  67
25.01  3.561  90
25.29  3.522  44
42.62  2.122  100

Cell: 8.2542 8.6872 12.0347 Å, 90.00 90.00 90.00°
Space group Imma (No. 74)
Unique sites:
Th1 0.0000 0.0000 0.0000 [4 per cell]
Tl1 0.0000 0.2500 0.3572 [4 per cell]
Tl2 0.2500 0.2500 0.7500 [4 per cell]
S1 0.0000 0.0438 0.7632 [8 per cell]
S2 0.2115 0.2500 0.0020 [8 per cell]